[1]
Computed X-ray powder pattern of Nd2CdCu2 for Cu Kα X-rays, from a PBE-relaxed structure.
Neutral-atom scattering factors, no anomalous dispersion.

The 10 most intense peaks (10° ≤ 2θ ≤ 90°), sorted by position:
d (Å)  I/Imax
3.453  15
2.731  73
2.575  100
2.442  44
1.932  19
1.873  17
1.686  21
1.647  17
1.515  20
1.345  18

Structural model:
a b c (Å): 7.7221 7.7221 3.8651
angles (deg): 90.00 90.00 90.00
Element x y z (fractional)
Nd 0.1755 0.3245 0.0000
Nd 0.3245 0.8245 0.0000
Nd 0.6755 0.1755 0.0000
Nd 0.8245 0.6755 0.0000
Cd 0.0000 0.0000 0.5000
Cd 0.5000 0.5000 0.5000
Cu 0.1182 0.6182 0.5000
Cu 0.3818 0.1182 0.5000
Cu 0.6182 0.8818 0.5000
Cu 0.8818 0.3818 0.5000

[2]
Computed X-ray powder pattern of Nd2CdCu2 for Cu Kα X-rays, from a PBE-relaxed structure.
Neutral-atom scattering factors, no anomalous dispersion.

The 10 most intense peaks (10° ≤ 2θ ≤ 90°), sorted by position:
d (Å)  I/Imax
3.214  32
2.758  100
2.611  70
2.435  33
2.415  49
2.137  28
1.863  18
1.653  34
1.475  21
1.404  14

Structural model:
a b c (Å): 7.6235 7.6235 3.7258
angles (deg): 90.00 90.00 147.45
Element x y z (fractional)
Nd 0.1303 0.8697 0.0000
Nd 0.8697 0.1303 0.0000
Cd 0.5000 0.5000 0.5000
Cu 0.2978 0.7022 0.5000
Cu 0.7022 0.2978 0.5000

[3]
Computed X-ray powder pattern of CdCu3NiSe4 for Cu Kα X-rays, from a PBE-relaxed structure.
Neutral-atom scattering factors, no anomalous dispersion.

The 10 most intense peaks (10° ≤ 2θ ≤ 90°), sorted by position:
d (Å)  I/Imax
4.081  18
3.332  92
2.356  10
2.041  100
1.740  39
1.543  6
1.443  15
1.324  15
1.178  30
1.111  11

Structural model:
a b c (Å): 5.7719 5.7719 5.7719
angles (deg): 90.00 90.00 90.00
Element x y z (fractional)
Cd 0.0000 0.0000 0.0000
Cu 0.0000 0.5000 0.5000
Cu 0.5000 0.0000 0.5000
Cu 0.5000 0.5000 0.0000
Ni 0.5000 0.5000 0.5000
Se 0.2647 0.2647 0.7353
Se 0.2647 0.7353 0.2647
Se 0.7353 0.2647 0.2647
Se 0.7353 0.7353 0.7353

[4]
Computed X-ray powder pattern of CdCu2O3 for Cu Kα X-rays, from a PBE-relaxed structure.
Neutral-atom scattering factors, no anomalous dispersion.

The 10 most intense peaks (10° ≤ 2θ ≤ 90°), sorted by position:
d (Å)  I/Imax
2.952  28
2.709  98
2.544  76
2.455  100
2.001  40
1.648  24
1.551  44
1.491  19
1.408  24
1.272  15

Structural model:
a b c (Å): 4.0018 9.8885 3.6802
angles (deg): 90.00 90.00 90.00
Element x y z (fractional)
Cd 0.2500 0.2500 0.1964
Cd 0.7500 0.7500 0.8036
Cu 0.2500 0.5849 0.3321
Cu 0.2500 0.9151 0.3321
Cu 0.7500 0.0849 0.6679
Cu 0.7500 0.4151 0.6679
O 0.2500 0.0766 0.6237
O 0.2500 0.4234 0.6237
O 0.2500 0.7500 0.0606
O 0.7500 0.2500 0.9394
O 0.7500 0.5766 0.3763
O 0.7500 0.9234 0.3763

[5]
Computed X-ray powder pattern of CdCu2S2O8 for Cu Kα X-rays, from a PBE-relaxed structure.
Neutral-atom scattering factors, no anomalous dispersion.

The 10 most intense peaks (10° ≤ 2θ ≤ 90°), sorted by position:
d (Å)  I/Imax
4.831  66
4.680  96
3.948  95
3.159  46
3.080  81
2.650  100
2.638  45
2.607  61
2.386  32
1.929  38

Structural model:
a b c (Å): 5.8919 8.4397 9.7652
angles (deg): 90.00 126.04 90.00
Element x y z (fractional)
Cd 0.0000 0.0000 0.0000
Cd 0.0000 0.5000 0.5000
Cu 0.2910 0.1328 0.5419
Cu 0.2910 0.3672 0.0419
Cu 0.7090 0.6328 0.9581
Cu 0.7090 0.8672 0.4581
S 0.3653 0.6210 0.1164
S 0.3653 0.8790 0.6164
S 0.6347 0.1210 0.3836
S 0.6347 0.3790 0.8836
O 0.0562 0.0122 0.8063
O 0.0562 0.4878 0.3063
O 0.0893 0.7062 0.0471
O 0.0893 0.7938 0.5471
O 0.4423 0.1532 0.1956
O 0.4423 0.3468 0.6956
O 0.4874 0.6992 0.0344
O 0.4874 0.8008 0.5344
O 0.5126 0.1992 0.4656
O 0.5126 0.3008 0.9656
O 0.5577 0.6532 0.3044
O 0.5577 0.8468 0.8044
O 0.9107 0.2062 0.4529
O 0.9107 0.2938 0.9529
O 0.9438 0.5122 0.6937
O 0.9438 0.9878 0.1937

[6]
Computed X-ray powder pattern of Cd2CuS2O2 for Cu Kα X-rays, from a PBE-relaxed structure.
Neutral-atom scattering factors, no anomalous dispersion.

The 10 most intense peaks (10° ≤ 2θ ≤ 90°), sorted by position:
d (Å)  I/Imax
4.769  100
3.902  32
2.703  60
2.427  43
2.384  18
2.109  58
1.993  34
1.839  29
1.529  17
1.172  17

Structural model:
a b c (Å): 9.9456 9.9456 9.9456
angles (deg): 156.88 156.88 32.93
Element x y z (fractional)
Cd 0.2500 0.7500 0.5000
Cd 0.7500 0.2500 0.5000
Cu 0.0000 0.0000 0.0000
S 0.1633 0.1633 0.0000
S 0.8367 0.8367 0.0000
O 0.0000 0.5000 0.5000
O 0.5000 0.0000 0.5000

[7]
Computed X-ray powder pattern of PrCd2Cu9 for Cu Kα X-rays, from a PBE-relaxed structure.
Neutral-atom scattering factors, no anomalous dispersion.

The 10 most intense peaks (10° ≤ 2θ ≤ 90°), sorted by position:
d (Å)  I/Imax
2.683  22
2.572  24
2.499  18
2.364  100
2.153  34
2.129  45
2.087  77
2.058  41
1.415  21
1.385  18

Structural model:
a b c (Å): 8.4849 8.4849 4.9977
angles (deg): 90.00 90.00 90.00
Element x y z (fractional)
Pr 0.0000 0.0000 0.0000
Pr 0.5000 0.5000 0.0000
Cd 0.1200 0.3800 0.0000
Cd 0.3800 0.8800 0.0000
Cd 0.6200 0.1200 0.0000
Cd 0.8800 0.6200 0.0000
Cu 0.0000 0.5000 0.5000
Cu 0.0637 0.2086 0.5000
Cu 0.1785 0.6785 0.2479
Cu 0.1785 0.6785 0.7521
Cu 0.2086 0.9363 0.5000
Cu 0.2914 0.4363 0.5000
Cu 0.3215 0.1785 0.2479
Cu 0.3215 0.1785 0.7521
Cu 0.4363 0.7086 0.5000
Cu 0.5000 0.0000 0.5000
Cu 0.5637 0.2914 0.5000
Cu 0.6785 0.8215 0.2479
Cu 0.6785 0.8215 0.7521
Cu 0.7086 0.5637 0.5000
Cu 0.7914 0.0637 0.5000
Cu 0.8215 0.3215 0.2479
Cu 0.8215 0.3215 0.7521
Cu 0.9363 0.7914 0.5000

[8]
Computed X-ray powder pattern of Pr2CdCu2 for Cu Kα X-rays, from a PBE-relaxed structure.
Neutral-atom scattering factors, no anomalous dispersion.

The 10 most intense peaks (10° ≤ 2θ ≤ 90°), sorted by position:
d (Å)  I/Imax
3.222  35
2.755  100
2.619  76
2.436  29
2.430  28
2.422  27
2.133  28
1.861  14
1.656  17
1.652  20

Structural model:
a b c (Å): 5.6604 5.6604 7.6835
angles (deg): 102.21 102.21 82.21
Element x y z (fractional)
Pr 0.1615 0.1615 0.2285
Pr 0.2905 0.2905 0.7546
Pr 0.7095 0.7095 0.2454
Pr 0.8385 0.8385 0.7715
Cd 0.2859 0.7141 0.5000
Cd 0.7141 0.2859 0.5000
Cu 0.1838 0.6131 0.0942
Cu 0.3869 0.8162 0.9058
Cu 0.6131 0.1838 0.0942
Cu 0.8162 0.3869 0.9058

[9]
Computed X-ray powder pattern of Cd2Cu10Sb4S13 for Cu Kα X-rays, from a PBE-relaxed structure.
Neutral-atom scattering factors, no anomalous dispersion.

The 10 most intense peaks (10° ≤ 2θ ≤ 90°), sorted by position:
d (Å)  I/Imax
3.052  100
2.739  10
2.599  16
2.457  6
1.885  35
1.838  15
1.635  14
1.575  19
1.526  5
1.222  7

Structural model:
a b c (Å): 9.1681 9.1681 9.1681
angles (deg): 110.92 110.92 106.62
Element x y z (fractional)
Cd 0.2325 0.2325 0.0000
Cd 0.7675 0.7675 0.0000
Cu 0.0000 0.2247 0.2247
Cu 0.0000 0.7753 0.7753
Cu 0.2247 0.0000 0.2247
Cu 0.2385 0.5000 0.7385
Cu 0.2500 0.7500 0.5000
Cu 0.5000 0.2385 0.7385
Cu 0.5000 0.7615 0.2615
Cu 0.7500 0.2500 0.5000
Cu 0.7615 0.5000 0.2615
Cu 0.7753 0.0000 0.7753
Sb 0.0146 0.0146 0.5442
Sb 0.4704 0.4704 0.4558
Sb 0.5296 0.9854 0.0000
Sb 0.9854 0.5296 0.0000
S 0.0000 0.0000 0.0000
S 0.0076 0.4815 0.2541
S 0.2274 0.7535 0.7459
S 0.2465 0.9924 0.4740
S 0.2522 0.5111 0.0000
S 0.4815 0.0076 0.2541
S 0.4889 0.4889 0.7411
S 0.5111 0.2522 0.0000
S 0.5185 0.7726 0.5260
S 0.7478 0.7478 0.2589
S 0.7535 0.2274 0.7459
S 0.7726 0.5185 0.5260
S 0.9924 0.2465 0.4740